(1)
Computed powder XRD pattern of Cs2Ni3S4 for Cu Ka, from the PBE geometry in the Materials Project.
Peak positions follow from Bragg's law for the DFT cell and can differ from measured ones.

Unit cell a=8.924 b=7.930 c=5.882 alpha=78.97 beta=60.72 gamma=40.31
Element x y z (fractional)
Cs1 0.161 0.161 0.839
Cs2 0.839 0.839 0.161
Ni1 0.000 0.000 0.500
Ni2 0.500 0.500 0.000
Ni3 0.500 0.500 0.500
S1 0.236 0.571 0.429
S2 0.429 0.764 0.236
S3 0.571 0.236 0.764
S4 0.764 0.429 0.571

Top 10 peaks for 2θ = 5–70°, low angle first:
- d 7.346, rel. 27
- d 4.171, rel. 33
- d 3.548, rel. 100
- d 2.988, rel. 18
- d 2.883, rel. 20
- d 2.573, rel. 34
- d 2.521, rel. 53
- d 2.318, rel. 17
- d 1.774, rel. 36
- d 1.761, rel. 18

(2)
Computed powder XRD pattern of TiH16C4N2Cl6 for Cu Ka, from the PBE geometry in the Materials Project.
Peak positions follow from Bragg's law for the DFT cell and can differ from measured ones.

Unit cell a=7.758 b=14.553 c=7.112 alpha=90.00 beta=90.00 gamma=90.00
Element x y z (fractional)
Ti1 0.000 0.000 0.000
Ti2 0.500 0.500 0.500
H1 0.038 0.216 0.500
H2 0.068 0.431 0.000
H3 0.086 0.325 0.126
H4 0.086 0.325 0.874
H5 0.145 0.907 0.384
H6 0.145 0.907 0.616
H7 0.146 0.740 0.374
H8 0.146 0.740 0.626
H9 0.354 0.240 0.126
H10 0.354 0.240 0.874
H11 0.355 0.407 0.116
H12 0.355 0.407 0.884
H13 0.414 0.825 0.374
H14 0.414 0.825 0.626
H15 0.432 0.931 0.500
H16 0.462 0.716 0.000
H17 0.538 0.284 0.000
H18 0.568 0.069 0.500
H19 0.586 0.175 0.374
H20 0.586 0.175 0.626
H21 0.645 0.593 0.116
H22 0.645 0.593 0.884
H23 0.646 0.760 0.126
H24 0.646 0.760 0.874
H25 0.854 0.260 0.374
H26 0.854 0.260 0.626
H27 0.855 0.093 0.384
H28 0.855 0.093 0.616
H29 0.914 0.675 0.126
H30 0.914 0.675 0.874
H31 0.932 0.569 0.000
H32 0.962 0.784 0.500
C1 0.102 0.777 0.500
C2 0.124 0.363 0.000
C3 0.376 0.863 0.500
C4 0.398 0.277 0.000
C5 0.602 0.723 0.000
C6 0.624 0.137 0.500
C7 0.876 0.637 0.000
C8 0.898 0.223 0.500
N1 0.184 0.870 0.500
N2 0.316 0.370 0.000
N3 0.684 0.630 0.000
N4 0.816 0.130 0.500
Cl1 0.165 0.863 0.000
Cl2 0.183 0.061 0.234
Cl3 0.183 0.061 0.766
Cl4 0.317 0.561 0.266
Cl5 0.317 0.561 0.734
Cl6 0.335 0.363 0.500
Cl7 0.665 0.637 0.500
Cl8 0.683 0.439 0.266
Cl9 0.683 0.439 0.734
Cl10 0.817 0.939 0.234
Cl11 0.817 0.939 0.766
Cl12 0.835 0.137 0.000

Top 10 peaks for 2θ = 5–70°, low angle first:
- d 7.277, rel. 37
- d 6.846, rel. 100
- d 6.390, rel. 17
- d 5.243, rel. 18
- d 4.254, rel. 18
- d 3.294, rel. 27
- d 2.954, rel. 58
- d 2.546, rel. 13
- d 2.466, rel. 11
- d 2.315, rel. 11

(3)
Computed powder XRD pattern of LuPO2 for Cu Ka, from the PBE geometry in the Materials Project.
Peak positions follow from Bragg's law for the DFT cell and can differ from measured ones.

Unit cell a=7.121 b=7.121 c=7.121 alpha=127.75 beta=127.75 gamma=77.03
Element x y z (fractional)
Lu1 0.000 0.000 0.000
Lu2 0.000 0.000 0.500
Lu3 0.000 0.500 0.000
Lu4 0.500 0.000 0.500
P1 0.000 0.500 0.500
P2 0.500 0.000 0.000
P3 0.500 0.500 0.000
P4 0.500 0.500 0.500
O1 0.200 0.205 0.995
O2 0.205 0.200 0.495
O3 0.205 0.710 0.005
O4 0.290 0.795 0.495
O5 0.710 0.205 0.505
O6 0.795 0.290 0.995
O7 0.795 0.800 0.505
O8 0.800 0.795 0.005

Top 10 peaks for 2θ = 5–70°, low angle first:
- d 5.465, rel. 100
- d 3.196, rel. 16
- d 2.786, rel. 41
- d 2.732, rel. 99
- d 2.720, rel. 36
- d 2.217, rel. 49
- d 1.735, rel. 39
- d 1.598, rel. 27
- d 1.366, rel. 17
- d 1.360, rel. 25

(4)
Computed powder XRD pattern of Ho2AlFe3 for Cu Ka, from the PBE geometry in the Materials Project.
Peak positions follow from Bragg's law for the DFT cell and can differ from measured ones.

Unit cell a=5.182 b=5.182 c=5.182 alpha=59.93 beta=59.93 gamma=59.93
Element x y z (fractional)
Ho1 0.122 0.122 0.122
Ho2 0.878 0.878 0.878
Al1 0.500 0.500 0.500
Fe1 0.000 0.500 0.500
Fe2 0.500 0.000 0.500
Fe3 0.500 0.500 0.000

Top 9 peaks for 2θ = 5–70°, low angle first:
- d 4.228, rel. 28
- d 2.590, rel. 76
- d 2.209, rel. 100
- d 2.114, rel. 11
- d 1.831, rel. 2
- d 1.680, rel. 7
- d 1.639, rel. 1
- d 1.495, rel. 28
- d 1.410, rel. 31

(5)
Computed powder XRD pattern of Ba3BiAs for Cu Ka, from the PBE geometry in the Materials Project.
Peak positions follow from Bragg's law for the DFT cell and can differ from measured ones.

Unit cell a=6.248 b=6.248 c=6.248 alpha=90.00 beta=90.00 gamma=90.00
Element x y z (fractional)
Ba1 0.000 0.000 0.500
Ba2 0.000 0.500 0.000
Ba3 0.500 0.000 0.000
Bi1 0.500 0.500 0.500
As1 0.000 0.000 0.000

Top 10 peaks for 2θ = 5–70°, low angle first:
- d 4.418, rel. 20
- d 3.607, rel. 100
- d 3.124, rel. 88
- d 2.551, rel. 10
- d 2.209, rel. 67
- d 1.884, rel. 49
- d 1.804, rel. 24
- d 1.562, rel. 11
- d 1.433, rel. 21
- d 1.397, rel. 31

(6)
Computed powder XRD pattern of Rb2NaScI6 for Cu Ka, from the PBE geometry in the Materials Project.
Peak positions follow from Bragg's law for the DFT cell and can differ from measured ones.

Unit cell a=8.546 b=8.546 c=8.546 alpha=60.00 beta=60.00 gamma=60.00
Element x y z (fractional)
Rb1 0.250 0.250 0.250
Rb2 0.750 0.750 0.750
Na1 0.000 0.000 0.000
Sc1 0.500 0.500 0.500
I1 0.261 0.261 0.739
I2 0.261 0.739 0.261
I3 0.261 0.739 0.739
I4 0.739 0.261 0.261
I5 0.739 0.261 0.739
I6 0.739 0.739 0.261

Top 10 peaks for 2θ = 5–70°, low angle first:
- d 6.043, rel. 9
- d 3.489, rel. 100
- d 3.021, rel. 70
- d 2.702, rel. 4
- d 2.136, rel. 50
- d 1.822, rel. 45
- d 1.744, rel. 17
- d 1.511, rel. 8
- d 1.386, rel. 17
- d 1.351, rel. 21

(7)
Computed powder XRD pattern of EuTlHg2 for Cu Ka, from the PBE geometry in the Materials Project.
Peak positions follow from Bragg's law for the DFT cell and can differ from measured ones.

Unit cell a=7.591 b=7.591 c=7.591 alpha=90.00 beta=90.00 gamma=90.00
Element x y z (fractional)
Eu1 0.000 0.000 0.000
Eu2 0.000 0.500 0.500
Eu3 0.500 0.000 0.500
Eu4 0.500 0.500 0.000
Tl1 0.000 0.000 0.500
Tl2 0.000 0.500 0.000
Tl3 0.500 0.000 0.000
Tl4 0.500 0.500 0.500
Hg1 0.250 0.250 0.250
Hg2 0.250 0.250 0.750
Hg3 0.250 0.750 0.250
Hg4 0.250 0.750 0.750
Hg5 0.750 0.250 0.250
Hg6 0.750 0.250 0.750
Hg7 0.750 0.750 0.250
Hg8 0.750 0.750 0.750

Top 4 peaks for 2θ = 5–70°, low angle first:
- d 4.383, rel. 1
- d 2.684, rel. 100
- d 1.898, rel. 18
- d 1.550, rel. 39